Calculated powder diffraction line list of CrPb2Br for Cu Kα (λ = 1.5418 Å), from a crystal structure in Alexandria, relaxed with PBE.

The 10 most intense peaks (5 to 70 degrees two-theta), in order of rising 2θ:
2θ (°), intensity
11.88, 38
26.82, 89
32.14, 42
33.33, 24
35.50, 100
36.20, 54
40.32, 28
40.44, 32
58.43, 23
60.47, 36

Atomic structure:
```
4
Lattice="-1.6815 2.2370 7.4495 1.6815 -2.2370 7.4495 1.6815 2.2370 -7.4495" Properties=species:S:1:pos:R:3 pbc="T T T"
Cr 0.0000 0.0000 0.0000
Pb 1.6815 0.0000 2.8126
Pb 0.0000 2.2370 4.6369
Br 0.0000 0.0000 7.4495
```